Simulated PXRD pattern
Compound: NaSbBr6
Radiation: copper Kα
Structure: a crystal structure in Alexandria, relaxed with PBE
Lines closer than 0.1° are merged.

Main lines, low angle first (15 to 90 degrees two-theta):
d = 5.811 Å, intensity 39, hkl 0 1 0; d = 5.153 Å, intensity 22, hkl 1 0 1; d = 3.783 Å, intensity 14, hkl 1 1 2; d = 3.217 Å, intensity 13, hkl 0 0 2; d = 3.087 Å, intensity 100, hkl 2 1 2; d = 2.374 Å, intensity 43, hkl -1 1 2; d = 2.241 Å, intensity 13, hkl 2 3 1; d = 2.031 Å, intensity 27, hkl 3 3 2; d = 1.831 Å, intensity 23, hkl 1 2 4; d = 1.697 Å, intensity 12, hkl 2 -2 1

Crystal structure
a = 7.035 Å, b = 7.036 Å, c = 7.606 Å
α = 62.46°, β = 62.51°, γ = 60.04°
Fractional positions:
Na 0.000 0.000 0.000
Sb 0.500 0.500 0.500
Br 0.105 0.709 0.733
Br 0.290 0.547 0.267
Br 0.454 0.104 0.733
Br 0.546 0.896 0.267
Br 0.710 0.453 0.733
Br 0.895 0.291 0.267